Simulated XRD peak list
Compound: Mn6O5F7
Radiation: Cu Kα, 1.54184 Å
Structure: DFT lattice parameters and positions (PBE+U)

Crystal structure
```
Mn6O5F7
1.0
4.715 0.000 0.000
0.142 5.719 0.000
0.175 0.508 7.900
Mn O F
6 5 7
Cartesian
0.000 0.000 0.000
0.170 2.237 5.292
2.386 3.273 7.849
2.458 4.994 5.327
2.327 0.967 2.438
4.576 4.033 2.731
0.958 0.562 6.069
1.517 3.472 6.188
1.373 1.202 0.738
3.849 3.777 4.547
3.887 5.653 1.751
0.949 4.030 0.959
0.972 2.206 3.338
1.545 5.071 3.421
3.246 2.763 1.666
3.259 0.907 4.360
3.496 4.913 7.242
3.817 2.068 7.025
```

Largest 10 diffraction maxima, by intensity, 2θ from 15° to 90°:
26.14°, d 3.409, rel. 100.0, (1 1 1)
27.01°, d 3.301, rel. 91.3, (-1 1 1)
34.07°, d 2.632, rel. 48.9, (0 2 -1)
34.15°, d 2.626, rel. 26.5, (1 -1 2)
52.29°, d 1.750, rel. 26.4, (1 -3 0)
34.26°, d 2.617, rel. 24.9, (1 1 -2)
65.72°, d 1.421, rel. 20.7, (0 4 1)
58.52°, d 1.577, rel. 18.3, (0 2 -4)
39.51°, d 2.281, rel. 17.8, (1 -2 1)
53.78°, d 1.704, rel. 16.7, (2 2 2)